Diffraction record for Sm4AlGe3. The X-ray powder pattern is computed, not measured: it uses a cell relaxed with PBE and a wavelength of 1.5418 Å.
No peak broadening, texture or thermal motion is included.

Top 12 peaks for 15° ≤ 2θ ≤ 90°, in order of rising 2θ:
index  Position (°2θ)  d (Å)  I/Imax
1 0 2  27.24  3.274  29
1 1 1  30.93  2.891  100
0 1 3  31.51  2.839  41
0 0 4  32.32  2.770  29
1 1 3  38.71  2.326  47
1 0 4  39.38  2.288  15
0 2 0  40.65  2.219  26
2 0 0  44.66  2.029  19
0 2 4  52.86  1.732  14
2 1 3  55.68  1.651  16
2 2 0  61.97  1.498  15
0 1 7  62.27  1.491  13

Structure:
Cell lengths 4.0582, 4.4386, 11.0799 Å; angles 90.00, 90.00, 90.00 degrees
Sites, in units of the cell vectors:
Sm: 0.0000 0.0000 0.0000
Sm: 0.0000 0.5000 0.4961
Sm: 0.5000 0.0000 0.2756
Sm: 0.5000 0.5000 0.7797
Al: 0.5000 0.0000 0.5663
Ge: 0.0000 0.0000 0.7173
Ge: 0.0000 0.5000 0.2171
Ge: 0.5000 0.5000 0.0553